No. 1
Starting from a cell relaxed with PBE, the powder diffractogram of NaGa4Au6 was calculated for a wavelength of 1.5418 Å.
Kinematic intensities with the Lorentz-polarization factor, no thermal factor.

Structure:
```
11
Lattice="7.2186 0.0000 0.0000 -3.6093 6.2515 0.0000 0.0000 0.0000 4.9941" Properties=species:S:1:pos:R:3 pbc="T T T"
Na 0.0000 0.0000 0.0000
Ga -2.0688 3.6950 2.4971
Ga 1.4438 2.6124 2.4971
Ga 0.6250 6.1956 2.4971
Ga 3.6093 2.0838 0.0000
Au -1.2717 3.1078 0.0000
Au 1.6807 0.0336 2.4971
Au -0.2820 5.7989 0.0000
Au 1.5537 3.5963 0.0000
Au 2.7980 4.7792 2.4971
Au 6.3492 1.4388 2.4971
```

Principal peaks in the range 2θ = 5–70°, by angle:
- 22.79 deg, I = 65.6
- 24.67 deg, I = 34.4
- 33.83 deg, I = 33.7
- 35.97 deg, I = 47.2
- 38.08 deg, I = 46.2
- 42.32 deg, I = 100.0
- 53.38 deg, I = 35.1
- 69.01 deg, I = 23.7

---

No. 2
Starting from a cell relaxed with PBE, the powder diffractogram of NaGaAu11 was calculated for a wavelength of 1.5418 Å.
Kinematic intensities with the Lorentz-polarization factor, no thermal factor.

Structure:
```
13
Lattice="2.7932 -6.7471 0.0000 2.7932 6.7471 0.0000 -2.2195 0.0000 6.7009" Properties=species:S:1:pos:R:3 pbc="T T T"
Na 0.0000 0.0000 0.0000
Ga 1.6835 0.0000 3.3505
Au -1.1097 0.0000 3.3505
Au 1.3966 3.3735 0.0000
Au 0.5538 4.3724 4.3569
Au 0.6088 1.4299 5.2161
Au 2.8132 4.3724 2.3440
Au 2.7582 1.4299 1.4848
Au 1.3966 -3.3735 0.0000
Au 0.6088 -1.4299 5.2161
Au 0.5538 -4.3724 4.3569
Au 2.7582 -1.4299 1.4848
Au 2.8132 -4.3724 2.3440
```

Principal peaks in the range 2θ = 5–70°, by angle:
- 13.14 deg, I = 46.5
- 36.56 deg, I = 43.5
- 37.39 deg, I = 62.8
- 37.85 deg, I = 100.0
- 38.46 deg, I = 46.7
- 40.33 deg, I = 60.7
- 42.09 deg, I = 73.1
- 42.63 deg, I = 47.1

---

No. 3
Starting from a cell relaxed with PBE, the powder diffractogram of Na6GaAu2 was calculated for a wavelength of 1.5418 Å.
Kinematic intensities with the Lorentz-polarization factor, no thermal factor.

Structure:
```
9
Lattice="2.6254 1.5158 9.7514 -2.6254 1.5158 9.7514 0.0000 -3.0315 9.7514" Properties=species:S:1:pos:R:3 pbc="T T T"
Na 0.0000 0.0000 2.3117
Na 0.0000 0.0000 5.8414
Na 0.0000 0.0000 9.0463
Na 0.0000 0.0000 20.2079
Na 0.0000 0.0000 23.4128
Na 0.0000 0.0000 26.9426
Ga 0.0000 0.0000 14.6271
Au 0.0000 0.0000 12.0857
Au 0.0000 0.0000 17.1685
```

Principal peaks in the range 2θ = 5–70°, by angle:
- 18.19 deg, I = 29.7
- 19.76 deg, I = 100.0
- 20.45 deg, I = 28.7
- 24.80 deg, I = 26.7
- 34.15 deg, I = 72.8
- 36.52 deg, I = 31.6
- 38.96 deg, I = 27.8
- 39.24 deg, I = 26.0

---

No. 4
Starting from a cell relaxed with PBE, the powder diffractogram of Na2Ga4Au3 was calculated for a wavelength of 1.5418 Å.
Kinematic intensities with the Lorentz-polarization factor, no thermal factor.

Structure:
```
9
Lattice="0.0000 4.8857 6.4661 2.9266 0.0000 6.4661 2.9266 4.8857 0.0000" Properties=species:S:1:pos:R:3 pbc="T T T"
Na 2.9266 4.8857 1.6076
Na 2.9266 4.8857 11.3246
Ga 2.9266 3.2367 4.2857
Ga 2.9266 6.5346 4.2857
Ga 2.9266 3.2367 8.6465
Ga 2.9266 6.5346 8.6465
Au 1.4633 2.4428 0.0000
Au 1.4633 2.4428 6.4661
Au 2.9266 4.8857 6.4661
```

Principal peaks in the range 2θ = 5–70°, by angle:
- 13.69 deg, I = 100.0
- 18.16 deg, I = 26.3
- 18.96 deg, I = 56.3
- 37.88 deg, I = 51.6
- 38.46 deg, I = 81.9
- 39.43 deg, I = 37.1
- 41.91 deg, I = 27.7
- 45.76 deg, I = 42.1

---

Q: What is the formula in the third record?
A: Na6GaAu2

---

Repeat the first record exactly.
Starting from a cell relaxed with PBE, the powder diffractogram of NaGa4Au6 was calculated for a wavelength of 1.5418 Å.
Kinematic intensities with the Lorentz-polarization factor, no thermal factor.

Structure:
```
11
Lattice="7.2186 0.0000 0.0000 -3.6093 6.2515 0.0000 0.0000 0.0000 4.9941" Properties=species:S:1:pos:R:3 pbc="T T T"
Na 0.0000 0.0000 0.0000
Ga -2.0688 3.6950 2.4971
Ga 1.4438 2.6124 2.4971
Ga 0.6250 6.1956 2.4971
Ga 3.6093 2.0838 0.0000
Au -1.2717 3.1078 0.0000
Au 1.6807 0.0336 2.4971
Au -0.2820 5.7989 0.0000
Au 1.5537 3.5963 0.0000
Au 2.7980 4.7792 2.4971
Au 6.3492 1.4388 2.4971
```

Principal peaks in the range 2θ = 5–70°, by angle:
- 22.79 deg, I = 65.6
- 24.67 deg, I = 34.4
- 33.83 deg, I = 33.7
- 35.97 deg, I = 47.2
- 38.08 deg, I = 46.2
- 42.32 deg, I = 100.0
- 53.38 deg, I = 35.1
- 69.01 deg, I = 23.7

---

Q: Which formula does entry 3 have?
A: Na6GaAu2